(1)
For Ga9Hg2Pb, a crystal structure in Alexandria, relaxed with GGA-PBE gives the computed PXRD pattern in this record (copper Kα).

abc: 6.0696 6.0696 24.4962
angles: 90.00 90.00 120.00
Space group R-3m (No. 166, hexagonal axes)
Unique sites:
Ga: 0.0000 0.0000 0.0000 [3 per cell]
Ga: 0.0000 0.0000 0.1614 [6 per cell]
Ga: 0.0225 0.5113 0.4118 [18 per cell]
Hg: 0.0000 0.0000 0.3669 [6 per cell]
Pb: 0.0000 0.0000 0.5000 [3 per cell]

Most intense lines, 2θ from 10° to 90°, by intensity:
d [Å]	2θ (°)	Rel. int.	hkl
2.436	36.9	100.0	1 1 6
3.035	29.4	91.5	1 1 0
2.646	33.9	64.4	0 1 8
2.613	34.3	62.4	0 2 1
2.913	30.7	39.5	1 0 7
1.517	61.1	37.9	2 2 0
5.139	17.3	30.3	1 0 1
1.610	57.2	28.9	0 3 6
2.316	38.9	25.7	2 0 5
1.728	53.0	24.1	2 1 7

(2)
For GaHg2Pb, a crystal structure in Alexandria, relaxed with GGA-PBE gives the computed PXRD pattern in this record (copper Kα).

abc: 3.3651 3.3651 32.6517
angles: 90.00 90.00 120.00
Space group R-3m (No. 166, hexagonal axes)
Unique sites:
Ga: 0.0000 0.0000 0.0000 [3 per cell]
Hg: 0.0000 0.0000 0.4057 [6 per cell]
Pb: 0.0000 0.0000 0.5000 [3 per cell]

Most intense lines, 2θ from 10° to 90°, by intensity:
d [Å]	2θ (°)	Rel. int.	hkl
2.903	30.8	100.0	1 0 1
2.174	41.5	93.2	1 0 10
2.869	31.2	83.3	0 1 2
2.080	43.5	50.4	0 1 11
1.683	54.5	44.1	1 1 0
2.721	32.9	39.5	0 0 12
3.628	24.5	36.0	0 0 9
1.431	65.2	33.9	1 1 12
2.661	33.7	25.8	0 1 5
1.331	70.8	22.9	0 2 10

(3)
For Tl2GaHg2Pb, a crystal structure in Alexandria, relaxed with GGA-PBE gives the computed PXRD pattern in this record (copper Kα).

abc: 6.3990 16.6328 6.4191
angles: 90.00 90.00 90.00
Space group Ibam (No. 72)
Unique sites:
Tl: 0.1989 0.1783 0.0000 [8 per cell]
Ga: 0.0000 0.5000 0.2500 [4 per cell]
Hg: 0.1887 0.3678 0.0000 [8 per cell]
Pb: 0.0000 0.0000 0.2500 [4 per cell]

Most intense lines, 2θ from 10° to 90°, by intensity:
d [Å]	2θ (°)	Rel. int.	hkl
2.539	35.4	100.0	0 4 2
2.991	29.9	89.1	0 2 2
2.266	39.8	57.7	2 0 2
2.823	31.7	56.2	2 1 1
2.365	38.1	44.7	1 6 1
2.772	32.3	35.8	0 6 0
3.207	27.8	35.5	0 0 2
3.064	29.1	30.3	1 4 1
1.754	52.1	28.2	2 6 2
1.567	58.9	23.3	3 5 2